This entry pairs a crystal structure of ZrSn with its simulated powder diffraction line list. Radiation: Cu Kα. Structure: DFT lattice parameters and positions (GGA-PBE).
Neutral-atom scattering factors, no anomalous dispersion.

Atomic structure:
```
ZrSn
1.0
6.131 0.000 0.000
0.000 5.493 0.000
-0.971 0.000 8.440
Zr Sn
6 6
Direct
0.052 0.250 0.091
0.197 0.250 0.735
0.443 0.750 0.885
0.557 0.250 0.115
0.803 0.750 0.265
0.948 0.750 0.909
0.142 0.750 0.578
0.289 0.750 0.200
0.361 0.250 0.417
0.639 0.750 0.583
0.711 0.250 0.800
0.858 0.250 0.422
```

Largest 10 diffraction maxima, most intense first, 5 to 70 degrees two-theta:
35.9 deg, 2.504 Å, intensity 1000; 36.4 deg, 2.470 Å, intensity 903; 32.6 deg, 2.747 Å, intensity 821; 38.1 deg, 2.362 Å, intensity 470; 34.3 deg, 2.616 Å, intensity 395; 48.0 deg, 1.894 Å, intensity 287; 60.3 deg, 1.535 Å, intensity 222; 60.7 deg, 1.527 Å, intensity 214; 32.4 deg, 2.766 Å, intensity 164; 66.1 deg, 1.413 Å, intensity 131

This entry pairs a crystal structure of CeAu2 with its simulated powder diffraction line list. Radiation: Cu Kα. Structure: DFT lattice parameters and positions (GGA-PBE).
Neutral-atom scattering factors, no anomalous dispersion.

Atomic structure:
```
CeAu2
1.0
4.711 0.000 0.000
0.000 7.000 0.000
0.000 0.000 8.354
Ce Au
4 8
Direct
0.000 0.250 0.035
0.000 0.750 0.965
0.500 0.250 0.465
0.500 0.750 0.535
0.000 0.035 0.664
0.000 0.465 0.664
0.000 0.535 0.336
0.000 0.965 0.336
0.500 0.035 0.836
0.500 0.465 0.836
0.500 0.535 0.164
0.500 0.965 0.164
```

Largest 10 diffraction maxima, most intense first, 5 to 70 degrees two-theta:
33.7 deg, 2.663 Å, intensity 1000; 37.5 deg, 2.397 Å, intensity 933; 38.2 deg, 2.355 Å, intensity 497; 33.4 deg, 2.683 Å, intensity 433; 66.1 deg, 1.413 Å, intensity 330; 45.9 deg, 1.978 Å, intensity 259; 51.6 deg, 1.770 Å, intensity 255; 25.4 deg, 3.500 Å, intensity 234; 31.3 deg, 2.854 Å, intensity 212; 56.6 deg, 1.626 Å, intensity 171

This entry pairs a crystal structure of Tb2MgTi2S2O5 with its simulated powder diffraction line list. Radiation: Cu Kα. Structure: DFT lattice parameters and positions (GGA-PBE).
Neutral-atom scattering factors, no anomalous dispersion.

Atomic structure:
```
Tb2MgTi2S2O5
1.0
2.690 -2.692 0.000
2.690 2.692 0.000
-0.080 0.000 14.172
Tb Mg Ti S O
2 1 2 2 5
Direct
0.000 0.000 0.000
0.504 0.504 0.721
0.013 0.013 0.492
0.503 0.503 0.139
0.512 0.512 0.396
0.004 0.004 0.674
0.500 0.500 0.905
0.003 0.501 0.090
0.012 0.512 0.445
0.501 0.003 0.090
0.509 0.509 0.268
0.512 0.012 0.445
```

Largest 10 diffraction maxima, most intense first, 5 to 70 degrees two-theta:
6.2 deg, 14.172 Å, intensity 1000; 26.6 deg, 3.353 Å, intensity 930; 33.3 deg, 2.691 Å, intensity 547; 18.8 deg, 4.724 Å, intensity 512; 47.8 deg, 1.903 Å, intensity 314; 24.2 deg, 3.675 Å, intensity 227; 25.1 deg, 3.543 Å, intensity 205; 38.5 deg, 2.340 Å, intensity 190; 55.5 deg, 1.656 Å, intensity 183; 33.9 deg, 2.644 Å, intensity 175